Starting from a cell relaxed with GGA+U, the powder diffraction line list of VCdPbF6 was simulated for Cu Kα (weighted mean of Kα1 and Kα2).

Largest 10 diffraction maxima, sorted by position, 10 to 90 degrees two-theta:
- 17.60 deg, I 16, hkl 1 0 0
- 24.82 deg, I 100, hkl 1 0 2
- 30.74 deg, I 34, hkl 1 1 0
- 39.90 deg, I 28, hkl 2 0 2
- 47.37 deg, I 37, hkl 1 1 4
- 51.20 deg, I 28, hkl 2 1 2
- 54.65 deg, I 15, hkl 3 0 0
- 57.10 deg, I 10, hkl 1 0 6
- 69.78 deg, I 11, hkl 4 -1 2
- 74.80 deg, I 9, hkl 3 -1 6

Crystal structure
```
VCdPbF6
1.0
5.817 0.000 0.000
-2.909 5.038 0.000
0.000 0.000 10.216
V Cd Pb F
2 2 2 12
Cartesian
0.000 3.359 2.554
2.909 1.679 7.662
0.000 3.359 7.662
2.909 1.679 2.554
0.000 0.000 0.000
0.000 0.000 5.108
-0.946 1.826 1.418
-1.800 3.306 3.690
0.946 1.826 3.690
-0.854 4.944 1.418
2.054 0.094 6.526
1.108 1.732 8.798
1.800 3.306 1.418
0.854 4.944 3.690
3.763 0.094 8.798
1.963 3.212 6.526
4.709 1.732 6.526
3.855 3.212 8.798
```